Simulated powder XRD pattern of Na2HgGeS4 for Cu Kα, from DFT lattice parameters and positions (GGA-PBE).
Lines closer than 0.1° are merged.

Top 10 peaks for 10 to 90 degrees two-theta, sorted by position:
11.46 deg, intensity 87, (0 1 0)
17.34 deg, intensity 100, (0 1 1)
25.19 deg, intensity 78, (2 1 0)
26.11 deg, intensity 65, (0 0 2)
26.52 deg, intensity 54, (0 2 1)
28.43 deg, intensity 60, (2 1 1)
34.96 deg, intensity 48, (2 2 1)
36.61 deg, intensity 43, (2 1 2)
41.80 deg, intensity 44, (2 3 0)
47.52 deg, intensity 38, (2 1 3)

Atomic structure:
a b c (Å): 7.951 7.723 6.827
angles (deg): 90.00 90.00 90.00
Space group Pmn2_1 (No. 31)
Inequivalent atoms, fractional coordinates:
Na: 0.243 0.169 0.000 (multiplicity 4)
Hg: 0.000 0.364 0.493 (multiplicity 2)
Ge: 0.000 0.663 0.999 (multiplicity 2)
S: 0.000 0.396 0.876 (multiplicity 2)
S: 0.000 0.660 0.326 (multiplicity 2)
S: 0.228 0.817 0.905 (multiplicity 4)